Structure and computed PXRD pattern of SiC (a structure optimized by DFT (PBE); copper Kα).
Peak positions follow from Bragg's law for the DFT cell and can differ from measured ones.

Structure:
a = 3.0944 Å, b = 3.0944 Å, c = 48.0996 Å
α = 90.00°, β = 90.00°, γ = 120.00°
Space group P3m1 (No. 156)
One atom of each set of equivalent atoms:
Si  0.0000  0.0000  0.0000 x1
Si  0.0000  0.0000  0.1053 x1
Si  0.0000  0.0000  0.2106 x1
Si  0.0000  0.0000  0.3158 x1
Si  0.0000  0.0000  0.4211 x1
Si  0.0000  0.0000  0.6316 x1
Si  0.0000  0.0000  0.7895 x1
Si  0.3333  0.6667  0.0527 x1
Si  0.3333  0.6667  0.2632 x1
Si  0.3333  0.6667  0.4737 x1
Si  0.3333  0.6667  0.5790 x1
Si  0.3333  0.6667  0.6843 x1
Si  0.3333  0.6667  0.8948 x1
Si  0.6667  0.3333  0.1579 x1
Si  0.6667  0.3333  0.3685 x1
Si  0.6667  0.3333  0.5263 x1
Si  0.6667  0.3333  0.7368 x1
Si  0.6667  0.3333  0.8421 x1
Si  0.6667  0.3333  0.9474 x1
C  0.0000  0.0000  0.0395 x1
C  0.0000  0.0000  0.1447 x1
C  0.0000  0.0000  0.2500 x1
C  0.0000  0.0000  0.3553 x1
C  0.0000  0.0000  0.4606 x1
C  0.0000  0.0000  0.6712 x1
C  0.0000  0.0000  0.8291 x1
C  0.3333  0.6667  0.0922 x1
C  0.3333  0.6667  0.3028 x1
C  0.3333  0.6667  0.5132 x1
C  0.3333  0.6667  0.6184 x1
C  0.3333  0.6667  0.7237 x1
C  0.3333  0.6667  0.9344 x1
C  0.6667  0.3333  0.1975 x1
C  0.6667  0.3333  0.4081 x1
C  0.6667  0.3333  0.5659 x1
C  0.6667  0.3333  0.7763 x1
C  0.6667  0.3333  0.8816 x1
C  0.6667  0.3333  0.9869 x1

The 10 most intense peaks (2θ = 15–90°), sorted by position:
| 2θ (°) | I_rel | h k l |
| --- | --- | --- |
| 34.75 | 98 | 0 1 5 |
| 35.31 | 37 | 1 0 6 |
| 35.46 | 100 | 0 0 19 |
| 37.55 | 72 | 0 1 9 |
| 38.45 | 55 | 1 0 10 |
| 57.41 | 26 | 0 1 24 |
| 59.77 | 91 | 1 1 0 |
| 64.42 | 32 | 0 1 28 |
| 66.27 | 27 | 1 0 29 |
| 71.45 | 74 | 1 1 19 |

=====

Structure and computed PXRD pattern of HgPd5Se (a structure optimized by DFT (PBE); copper Kα).
Peak positions follow from Bragg's law for the DFT cell and can differ from measured ones.

Structure:
a = 4.089 Å, b = 4.089 Å, c = 7.172 Å
α = 90.00°, β = 90.00°, γ = 90.00°
Space group P4/mmm (No. 123)
One atom of each set of equivalent atoms:
Hg  0.000  0.000  0.000 x1
Pd  0.000  0.500  0.287 x4
Pd  0.500  0.500  0.000 x1
Se  0.500  0.500  0.500 x1

The 10 most intense peaks (2θ = 15–90°), sorted by position:
| 2θ (°) | I_rel | h k l |
| --- | --- | --- |
| 25.07 | 16 | 1 0 1 |
| 33.41 | 30 | 1 1 1 |
| 37.62 | 13 | 0 0 3 |
| 40.06 | 100 | 1 1 2 |
| 44.31 | 42 | 2 0 0 |
| 59.49 | 14 | 2 0 3 |
| 64.45 | 14 | 2 2 0 |
| 69.76 | 13 | 2 0 4 |
| 73.73 | 11 | 1 1 5 |
| 78.66 | 27 | 3 1 2 |

=====

Structure and computed PXRD pattern of Zn2PdPt (a structure optimized by DFT (PBE); copper Kα).
Peak positions follow from Bragg's law for the DFT cell and can differ from measured ones.

Structure:
a = 6.157 Å, b = 6.157 Å, c = 6.157 Å
α = 90.00°, β = 90.00°, γ = 90.00°
Space group Fm-3m (No. 225)
One atom of each set of equivalent atoms:
Zn  0.250  0.250  0.250 x8
Pd  0.000  0.000  0.000 x4
Pt  0.000  0.000  0.500 x4

The 10 most intense peaks (2θ = 15–90°), sorted by position:
| 2θ (°) | I_rel | h k l |
| --- | --- | --- |
| 25.05 | 8 | 1 1 1 |
| 29.00 | 16 | 2 0 0 |
| 41.48 | 100 | 2 2 0 |
| 49.07 | 5 | 3 1 1 |
| 51.41 | 5 | 2 2 2 |
| 60.11 | 16 | 4 0 0 |
| 66.15 | 2 | 3 3 1 |
| 68.10 | 6 | 4 2 0 |
| 75.67 | 33 | 4 2 2 |
| 81.17 | 2 | 5 1 1 |

=====

Structure and computed PXRD pattern of Zr3Pb (a structure optimized by DFT (PBE); copper Kα).
Peak positions follow from Bragg's law for the DFT cell and can differ from measured ones.

Structure:
a = 4.401 Å, b = 4.401 Å, c = 9.669 Å
α = 90.00°, β = 90.00°, γ = 90.00°
Space group I4/mmm (No. 139)
One atom of each set of equivalent atoms:
Zr  0.000  0.000  0.000 x2
Zr  0.000  0.500  0.250 x4
Pb  0.000  0.000  0.500 x2

The 10 most intense peaks (2θ = 15–90°), sorted by position:
| 2θ (°) | I_rel | h k l |
| --- | --- | --- |
| 18.35 | 6 | 0 0 2 |
| 22.19 | 15 | 1 0 1 |
| 34.27 | 100 | 1 1 2 |
| 37.20 | 20 | 0 0 4 |
| 41.02 | 30 | 2 0 0 |
| 56.56 | 24 | 2 0 4 |
| 59.40 | 10 | 2 2 0 |
| 65.20 | 15 | 1 1 6 |
| 70.40 | 24 | 3 1 2 |
| 72.20 | 11 | 2 2 4 |

=====

Structure and computed PXRD pattern of Fe5NiN4 (a structure optimized by DFT (PBE); copper Kα).
Peak positions follow from Bragg's law for the DFT cell and can differ from measured ones.

Structure:
a = 5.684 Å, b = 7.040 Å, c = 4.657 Å
α = 90.00°, β = 90.00°, γ = 90.00°
Space group Pmmn (No. 59, origin choice 2)
One atom of each set of equivalent atoms:
Fe  0.012  0.059  0.248 x8
Fe  0.250  0.750  0.212 x2
Ni  0.250  0.250  0.752 x2
N  0.017  0.750  0.493 x4
N  0.250  0.524  0.988 x4

The 10 most intense peaks (2θ = 15–90°), sorted by position:
| 2θ (°) | I_rel | h k l |
| --- | --- | --- |
| 38.67 | 56 | 0 0 2 |
| 39.28 | 100 | 2 1 1 |
| 40.81 | 65 | 2 2 0 |
| 43.17 | 100 | 0 3 1 |
| 57.47 | 78 | 2 2 2 |
| 65.71 | 18 | 4 0 0 |
| 70.39 | 14 | 2 1 3 |
| 73.08 | 16 | 0 3 3 |
| 78.55 | 31 | 2 5 1 |
| 81.91 | 25 | 4 3 1 |

=====

Structure and computed PXRD pattern of MgAl4Cu2O8 (a structure optimized by DFT (PBE); copper Kα).
Peak positions follow from Bragg's law for the DFT cell and can differ from measured ones.

Structure:
a = 5.748 Å, b = 5.773 Å, c = 5.845 Å
α = 63.86°, β = 63.69°, γ = 89.20°
Space group P1 (No. 1)
One atom of each set of equivalent atoms:
Mg  0.000  0.000  0.000 x1
Al  0.236  0.658  0.326 x1
Al  0.342  0.764  0.675 x1
Al  0.671  0.331  0.498 x1
Al  0.677  0.329  0.998 x1
Cu  0.158  0.172  0.252 x1
Cu  0.824  0.846  0.748 x1
O  0.043  0.586  0.716 x1
O  0.382  0.015  0.760 x1
O  0.417  0.955  0.284 x1
O  0.499  0.483  0.250 x1
O  0.518  0.503  0.749 x1
O  0.827  0.177  0.245 x1
O  0.828  0.178  0.751 x1
O  0.988  0.621  0.236 x1

The 10 most intense peaks (2θ = 15–90°), sorted by position:
| 2θ (°) | I_rel | h k l |
| --- | --- | --- |
| 18.81 | 100 | 1 0 1 |
| 21.78 | 32 | 1 1 1 |
| 32.11 | 45 | 0 1 -1 |
| 32.23 | 47 | 1 0 -1 |
| 36.75 | 44 | 2 -1 1 |
| 37.14 | 89 | 2 1 2 |
| 38.16 | 36 | 2 0 2 |
| 39.32 | 51 | 0 0 2 |
| 43.61 | 33 | 1 2 0 |
| 44.82 | 36 | 2 -2 0 |